For La2PuAl4Au3, a structure optimized by DFT (GGA-PBE) gives the calculated X-ray powder pattern in this record (Cu Kα X-rays).
Lines closer than 0.1° are merged.

Atomic structure:
Unit cell a=4.461 b=4.461 c=11.404 alpha=90.00 beta=90.00 gamma=90.00
Space group P-4m2 (No. 115)
One atom of each set of equivalent atoms:
La 0.000 0.500 0.243 [2 per cell]
Pu 0.000 0.000 0.500 [1 per cell]
Al 0.000 0.000 0.000 [1 per cell]
Al 0.000 0.500 0.665 [2 per cell]
Al 0.500 0.500 0.000 [1 per cell]
Au 0.000 0.500 0.883 [2 per cell]
Au 0.500 0.500 0.500 [1 per cell]

Largest 10 diffraction maxima, in order of rising 2θ, 2θ from 15° to 90°:
3.801 Å, I 35, hkl 0 0 3
3.514 Å, I 35, hkl 1 0 2
3.040 Å, I 99, hkl 1 1 1
2.893 Å, I 72, hkl 1 0 3
2.760 Å, I 100, hkl 1 1 2
2.231 Å, I 73, hkl 2 0 0
2.115 Å, I 35, hkl 1 1 4
1.767 Å, I 34, hkl 2 1 3
1.628 Å, I 26, hkl 1 1 6
1.577 Å, I 25, hkl 2 2 0



For LaMgGa4Cu2, a structure optimized by DFT (GGA-PBE) gives the calculated X-ray powder pattern in this record (Cu Kα X-rays).
Lines closer than 0.1° are merged.

Atomic structure:
Unit cell a=4.2986 b=4.2986 c=28.1555 alpha=90.00 beta=90.00 gamma=120.00
Space group R-3m (No. 166, hexagonal axes)
One atom of each set of equivalent atoms:
La 0.0000 0.0000 0.0000 [3 per cell]
Mg 0.0000 0.0000 0.5000 [3 per cell]
Ga 0.0000 0.0000 0.1197 [6 per cell]
Ga 0.0000 0.0000 0.4004 [6 per cell]
Cu 0.0000 0.0000 0.2340 [6 per cell]

Largest 10 diffraction maxima, in order of rising 2θ, 2θ from 15° to 90°:
3.691 Å, I 16, hkl 1 0 1
3.105 Å, I 33, hkl 0 1 5
2.557 Å, I 92, hkl 0 1 8
2.246 Å, I 26, hkl 1 0 10
2.149 Å, I 100, hkl 1 1 0
1.771 Å, I 17, hkl 1 1 9
1.645 Å, I 23, hkl 2 0 8
1.513 Å, I 17, hkl 0 1 17
1.307 Å, I 21, hkl 1 2 8
1.241 Å, I 16, hkl 3 0 0



For AcPm2PrTm, a structure optimized by DFT (GGA-PBE) gives the calculated X-ray powder pattern in this record (Cu Kα X-rays).
Lines closer than 0.1° are merged.

Atomic structure:
Unit cell a=8.319 b=12.248 c=7.408 alpha=90.00 beta=90.00 gamma=90.00
Space group Cmcm (No. 63)
One atom of each set of equivalent atoms:
Ac 0.000 0.243 0.250 [4 per cell]
Pm 0.196 0.500 0.000 [8 per cell]
Pr 0.000 0.062 0.750 [4 per cell]
Tm 0.000 0.311 0.750 [4 per cell]

Largest 10 diffraction maxima, in order of rising 2θ, 2θ from 15° to 90°:
4.159 Å, I 22, hkl 2 0 0
3.441 Å, I 67, hkl 2 2 0
3.285 Å, I 42, hkl 1 3 1
3.169 Å, I 71, hkl 0 2 2
3.062 Å, I 31, hkl 0 4 0
2.830 Å, I 22, hkl 0 4 1
2.766 Å, I 100, hkl 2 0 2
2.605 Å, I 23, hkl 1 3 2
2.340 Å, I 26, hkl 2 4 1
2.053 Å, I 31, hkl 2 4 2